This entry pairs a crystal structure of HoGe2Ru3 with its simulated powder diffractogram. Radiation: Cu Kα, 1.54184 Å. Structure: DFT lattice parameters and positions (GGA-PBE).
Intensities are scaled so that the largest is 100.

Structure:
```
data_HoGe2Ru3
_space_group_name_H-M_alt 'P 6 m m'
_space_group_IT_number 183
_space_group_name_Hall 'P 6 -2'
_cell_length_a 5.5605
_cell_length_b 5.5605
_cell_length_c 3.8347
_cell_angle_alpha 90.00
_cell_angle_beta 90.00
_cell_angle_gamma 120.00
loop_
_atom_site_label
_atom_site_fract_x
_atom_site_fract_y
_atom_site_fract_z
_atom_site_occupancy
Ho1 0.0000 0.0000 0.0000 1
Ge1 0.3333 0.6667 0.0016 1
Ru1 0.0000 0.5000 0.5015 1
```

Principal peaks in the range 2θ from 10° to 80°, sorted by position:
d = 3.000 Å, rel. 47
d = 2.780 Å, rel. 23
d = 2.408 Å, rel. 55
d = 2.251 Å, rel. 100
d = 1.917 Å, rel. 23
d = 1.500 Å, rel. 25
d = 1.481 Å, rel. 26
d = 1.390 Å, rel. 23



This entry pairs a crystal structure of HoIn3Pd4 with its simulated powder diffractogram. Radiation: Cu Kα, 1.54184 Å. Structure: DFT lattice parameters and positions (GGA-PBE).
Intensities are scaled so that the largest is 100.

Structure:
```
data_HoIn3Pd4
_space_group_name_H-M_alt 'P m m a'
_space_group_IT_number 51
_cell_length_a 9.3656
_cell_length_b 6.8326
_cell_length_c 4.6824
_cell_angle_alpha 90.00
_cell_angle_beta 90.00
_cell_angle_gamma 90.00
loop_
_space_group_symop_operation_xyz
'x,y,z'
'-x,-y,-z'
'-x+1/2,-y,z'
'x+1/2,y,-z'
'x+1/2,-y,-z'
'-x+1/2,y,z'
'-x,y,-z'
'x,-y,z'
loop_
_atom_site_label
_atom_site_fract_x
_atom_site_fract_y
_atom_site_fract_z
_atom_site_occupancy
Ho1 0.0000 0.0000 0.0000 1
In1 0.0000 0.5000 0.0000 1
In2 0.2500 0.0000 0.4993 1
In3 0.2500 0.5000 0.4989 1
Pd1 0.0000 0.2615 0.5000 1
Pd2 0.2500 0.2614 0.9987 1
```

Principal peaks in the range 2θ from 10° to 80°, sorted by position:
d = 3.311 Å, rel. 1
d = 2.980 Å, rel. 1
d = 2.378 Å, rel. 100
d = 2.341 Å, rel. 48
d = 1.708 Å, rel. 9
d = 1.656 Å, rel. 16
d = 1.380 Å, rel. 17
d = 1.359 Å, rel. 33



This entry pairs a crystal structure of Pm16Nd6Ho7 with its simulated powder diffractogram. Radiation: Cu Kα, 1.54184 Å. Structure: DFT lattice parameters and positions (GGA-PBE).
Intensities are scaled so that the largest is 100.

Structure:
```
data_Pm16Nd6Ho7
_space_group_name_H-M_alt 'F m -3 m'
_space_group_IT_number 225
_space_group_name_Hall '-F 4 2 3'
_cell_length_a 16.0194
_cell_length_b 16.0194
_cell_length_c 16.0194
_cell_angle_alpha 90.00
_cell_angle_beta 90.00
_cell_angle_gamma 90.00
loop_
_atom_site_label
_atom_site_fract_x
_atom_site_fract_y
_atom_site_fract_z
_atom_site_occupancy
Pm1 0.1258 0.1258 0.1258 1
Pm2 0.1511 0.1511 0.3489 1
Nd1 0.0000 0.0000 0.2726 1
Ho1 0.0000 0.0000 0.0000 1
Ho2 0.0000 0.2500 0.2500 1
```

Principal peaks in the range 2θ from 10° to 80°, sorted by position:
d = 3.270 Å, rel. 6
d = 3.083 Å, rel. 12
d = 2.832 Å, rel. 100
d = 2.086 Å, rel. 6
d = 2.002 Å, rel. 14
d = 1.635 Å, rel. 26
d = 1.416 Å, rel. 7
d = 1.266 Å, rel. 7



This entry pairs a crystal structure of HoAl3Pb2O8 with its simulated powder diffractogram. Radiation: Cu Kα, 1.54184 Å. Structure: DFT lattice parameters and positions (GGA-PBE).
Intensities are scaled so that the largest is 100.

Structure:
```
data_HoAl3Pb2O8
_space_group_name_H-M_alt 'P n -3 m'
_space_group_IT_number 224
_cell_length_a 9.5273
_cell_length_b 9.5273
_cell_length_c 9.5273
_cell_angle_alpha 90.00
_cell_angle_beta 90.00
_cell_angle_gamma 90.00
loop_
_space_group_symop_operation_xyz
'x,y,z'
'-x,-y,-z'
'-y,x+1/2,z+1/2'
'y,-x+1/2,-z+1/2'
'-x+1/2,-y+1/2,z'
'x+1/2,y+1/2,-z'
'y+1/2,-x,z+1/2'
'-y+1/2,x,-z+1/2'
'x,-y+1/2,-z+1/2'
'-x,y+1/2,z+1/2'
'-y,-x,-z'
'y,x,z'
'-x+1/2,y,-z+1/2'
'x+1/2,-y,z+1/2'
'y+1/2,x+1/2,-z'
'-y+1/2,-x+1/2,z'
'z,x,y'
'-z,-x,-y'
'z+1/2,-y,x+1/2'
'-z+1/2,y,-x+1/2'
'z,-x+1/2,-y+1/2'
'-z,x+1/2,y+1/2'
'z+1/2,y+1/2,-x'
'-z+1/2,-y+1/2,x'
'-z+1/2,x,-y+1/2'
'z+1/2,-x,y+1/2'
'-z,-y,-x'
'z,y,x'
'-z+1/2,-x+1/2,y'
'z+1/2,x+1/2,-y'
'-z,y+1/2,x+1/2'
'z,-y+1/2,-x+1/2'
'y,z,x'
'-y,-z,-x'
'x+1/2,z+1/2,-y'
'-x+1/2,-z+1/2,y'
'-y+1/2,z,-x+1/2'
'y+1/2,-z,x+1/2'
'-x,z+1/2,y+1/2'
'x,-z+1/2,-y+1/2'
'-y+1/2,-z+1/2,x'
'y+1/2,z+1/2,-x'
'-x,-z,-y'
'x,z,y'
'y,-z+1/2,-x+1/2'
'-y,z+1/2,x+1/2'
'x+1/2,-z,y+1/2'
'-x+1/2,z,-y+1/2'
loop_
_atom_site_label
_atom_site_fract_x
_atom_site_fract_y
_atom_site_fract_z
_atom_site_occupancy
Ho1 0.0000 0.0000 0.0000 1
Al1 0.0000 0.2500 0.7500 1
Pb1 0.1160 0.1160 0.3840 1
O1 0.0910 0.0910 0.7655 1
O2 0.1368 0.1368 0.1368 1
```

Principal peaks in the range 2θ from 10° to 80°, sorted by position:
d = 6.737 Å, rel. 71
d = 3.176 Å, rel. 100
d = 3.013 Å, rel. 76
d = 2.873 Å, rel. 71
d = 2.246 Å, rel. 46
d = 1.868 Å, rel. 29
d = 1.834 Å, rel. 39
d = 1.684 Å, rel. 40



This entry pairs a crystal structure of PuSb3Pd with its simulated powder diffractogram. Radiation: Cu Kα, 1.54184 Å. Structure: DFT lattice parameters and positions (GGA-PBE).
Intensities are scaled so that the largest is 100.

Structure:
```
data_PuSb3Pd
_space_group_name_H-M_alt 'P b c m'
_space_group_IT_number 57
_cell_length_a 12.6623
_cell_length_b 6.2223
_cell_length_c 6.1447
_cell_angle_alpha 90.00
_cell_angle_beta 90.00
_cell_angle_gamma 90.00
loop_
_space_group_symop_operation_xyz
'x,y,z'
'-x,-y,-z'
'-x,-y,z+1/2'
'x,y,-z+1/2'
'x,-y+1/2,-z'
'-x,y+1/2,z'
'-x,y+1/2,-z+1/2'
'x,-y+1/2,z+1/2'
loop_
_atom_site_label
_atom_site_fract_x
_atom_site_fract_y
_atom_site_fract_z
_atom_site_occupancy
Pu1 0.1899 0.0028 0.2500 1
Sb1 0.0020 0.7500 0.0000 1
Sb2 0.2565 0.9996 0.7500 1
Sb3 0.4313 0.1170 0.2500 1
Pd1 0.4024 0.7500 0.0000 1
```

Principal peaks in the range 2θ from 10° to 80°, sorted by position:
d = 4.133 Å, rel. 48
d = 2.792 Å, rel. 100
d = 2.764 Å, rel. 69
d = 2.564 Å, rel. 95
d = 2.531 Å, rel. 68
d = 2.504 Å, rel. 47
d = 2.484 Å, rel. 54
d = 2.186 Å, rel. 92



This entry pairs a crystal structure of Ca6Cd23In with its simulated powder diffractogram. Radiation: Cu Kα, 1.54184 Å. Structure: DFT lattice parameters and positions (GGA-PBE).
Intensities are scaled so that the largest is 100.

Structure:
```
data_Ca6Cd23In
_space_group_name_H-M_alt 'F m -3 m'
_space_group_IT_number 225
_space_group_name_Hall '-F 4 2 3'
_cell_length_a 14.3240
_cell_length_b 14.3240
_cell_length_c 14.3240
_cell_angle_alpha 90.00
_cell_angle_beta 90.00
_cell_angle_gamma 90.00
loop_
_atom_site_label
_atom_site_fract_x
_atom_site_fract_y
_atom_site_fract_z
_atom_site_occupancy
Ca1 0.0000 0.0000 0.2331 1
Cd1 0.0000 0.0000 0.5000 1
Cd2 0.0000 0.2500 0.2500 1
Cd3 0.1290 0.1290 0.3710 1
Cd4 0.1492 0.1492 0.1492 1
In1 0.0000 0.0000 0.0000 1
```

Principal peaks in the range 2θ from 10° to 80°, sorted by position:
d = 4.135 Å, rel. 14
d = 3.203 Å, rel. 7
d = 2.757 Å, rel. 6
d = 2.532 Å, rel. 100
d = 2.159 Å, rel. 10
d = 1.791 Å, rel. 13
d = 1.462 Å, rel. 23
d = 1.266 Å, rel. 6



This entry pairs a crystal structure of InGaAg4 with its simulated powder diffractogram. Radiation: Cu Kα, 1.54184 Å. Structure: DFT lattice parameters and positions (GGA-PBE).
Intensities are scaled so that the largest is 100.

Structure:
```
data_InGaAg4
_space_group_name_H-M_alt 'C 1 2/m 1'
_space_group_IT_number 12
_cell_length_a 5.4034
_cell_length_b 7.9556
_cell_length_c 5.9997
_cell_angle_alpha 90.00
_cell_angle_beta 116.32
_cell_angle_gamma 90.00
loop_
_space_group_symop_operation_xyz
'x,y,z'
'-x,-y,-z'
'-x,y,-z'
'x,-y,z'
'x+1/2,y+1/2,z'
'-x+1/2,-y+1/2,-z'
'-x+1/2,y+1/2,-z'
'x+1/2,-y+1/2,z'
loop_
_atom_site_label
_atom_site_fract_x
_atom_site_fract_y
_atom_site_fract_z
_atom_site_occupancy
In1 0.0000 0.0000 0.0000 1
Ga1 0.0000 0.0000 0.5000 1
Ag1 0.0221 0.3165 0.2600 1
```

Principal peaks in the range 2θ from 10° to 80°, sorted by position:
d = 2.788 Å, rel. 61
d = 2.422 Å, rel. 57
d = 2.326 Å, rel. 100
d = 2.228 Å, rel. 55
d = 2.059 Å, rel. 43
d = 1.943 Å, rel. 20
d = 1.403 Å, rel. 27
d = 1.379 Å, rel. 16



This entry pairs a crystal structure of Ca2Ac5Pr2 with its simulated powder diffractogram. Radiation: Cu Kα, 1.54184 Å. Structure: DFT lattice parameters and positions (GGA-PBE).
Intensities are scaled so that the largest is 100.

Structure:
```
data_Ca2Ac5Pr2
_space_group_name_H-M_alt 'C 1 2/m 1'
_space_group_IT_number 12
_cell_length_a 10.5407
_cell_length_b 6.3297
_cell_length_c 11.4571
_cell_angle_alpha 90.00
_cell_angle_beta 94.70
_cell_angle_gamma 90.00
loop_
_space_group_symop_operation_xyz
'x,y,z'
'-x,-y,-z'
'-x,y,-z'
'x,-y,z'
'x+1/2,y+1/2,z'
'-x+1/2,-y+1/2,-z'
'-x+1/2,y+1/2,-z'
'x+1/2,-y+1/2,z'
loop_
_atom_site_label
_atom_site_fract_x
_atom_site_fract_y
_atom_site_fract_z
_atom_site_occupancy
Ca1 0.1727 0.0000 0.1160 1
Ac1 0.0000 0.5000 0.0000 1
Ac2 0.0186 0.5000 0.3435 1
Ac3 0.1553 0.0000 0.7773 1
Pr1 0.1732 0.0000 0.4475 1
```

Principal peaks in the range 2θ from 10° to 80°, sorted by position:
d = 3.209 Å, rel. 29
d = 3.165 Å, rel. 29
d = 3.060 Å, rel. 100
d = 2.253 Å, rel. 23
d = 1.826 Å, rel. 11
d = 1.820 Å, rel. 12
d = 1.806 Å, rel. 22
d = 1.740 Å, rel. 9



This entry pairs a crystal structure of K2GaGeTe4 with its simulated powder diffractogram. Radiation: Cu Kα, 1.54184 Å. Structure: DFT lattice parameters and positions (GGA-PBE).
Intensities are scaled so that the largest is 100.

Structure:
```
data_K2GaGeTe4
_space_group_name_H-M_alt 'F d d d'
_space_group_IT_number 70
_cell_length_a 6.7657
_cell_length_b 15.1336
_cell_length_c 24.4872
_cell_angle_alpha 90.00
_cell_angle_beta 90.00
_cell_angle_gamma 90.00
loop_
_space_group_symop_operation_xyz
'x,y,z'
'-x,-y,-z'
'-x+1/4,-y+1/4,z'
'x+1/4,y+1/4,-z'
'x,-y+1/4,-z+1/4'
'-x,y+1/4,z+1/4'
'-x+1/4,y,-z+1/4'
'x+1/4,-y,z+1/4'
'x,y+1/2,z+1/2'
'-x,-y+1/2,-z+1/2'
'-x+1/4,-y+3/4,z+1/2'
'x+1/4,y+3/4,-z+1/2'
'x,-y+3/4,-z+3/4'
'-x,y+3/4,z+3/4'
'-x+1/4,y+1/2,-z+3/4'
'x+1/4,-y+1/2,z+3/4'
'x+1/2,y,z+1/2'
'-x+1/2,-y,-z+1/2'
'-x+3/4,-y+1/4,z+1/2'
'x+3/4,y+1/4,-z+1/2'
'x+1/2,-y+1/4,-z+3/4'
'-x+1/2,y+1/4,z+3/4'
'-x+3/4,y,-z+3/4'
'x+3/4,-y,z+3/4'
'x+1/2,y+1/2,z'
'-x+1/2,-y+1/2,-z'
'-x+3/4,-y+3/4,z'
'x+3/4,y+3/4,-z'
'x+1/2,-y+3/4,-z+1/4'
'-x+1/2,y+3/4,z+1/4'
'-x+3/4,y+1/2,-z+1/4'
'x+3/4,-y+1/2,z+1/4'
loop_
_atom_site_label
_atom_site_fract_x
_atom_site_fract_y
_atom_site_fract_z
_atom_site_occupancy
K1 0.1250 0.1250 0.3097 1
Ga1 0.1250 0.1250 0.1250 1
Ge1 0.1250 0.1250 0.6250 1
Te1 0.1137 0.2735 0.4344 1
```

Principal peaks in the range 2θ from 10° to 80°, sorted by position:
d = 6.437 Å, rel. 58
d = 4.925 Å, rel. 31
d = 3.624 Å, rel. 100
d = 3.118 Å, rel. 72
d = 2.604 Å, rel. 43
d = 2.470 Å, rel. 48
d = 2.380 Å, rel. 28
d = 2.022 Å, rel. 28



This entry pairs a crystal structure of Cs3Tl2Hg4Au2 with its simulated powder diffractogram. Radiation: Cu Kα, 1.54184 Å. Structure: DFT lattice parameters and positions (GGA-PBE).
Intensities are scaled so that the largest is 100.

Structure:
```
data_Cs3Tl2Hg4Au2
_space_group_name_H-M_alt 'P -3 m 1'
_space_group_IT_number 164
_space_group_name_Hall '-P 3 2"'
_cell_length_a 5.0476
_cell_length_b 5.0476
_cell_length_c 19.5588
_cell_angle_alpha 90.00
_cell_angle_beta 90.00
_cell_angle_gamma 120.00
loop_
_atom_site_label
_atom_site_fract_x
_atom_site_fract_y
_atom_site_fract_z
_atom_site_occupancy
Cs1 0.0000 0.0000 0.0000 1
Cs2 0.0000 0.0000 0.2587 1
Tl1 0.3333 0.6667 0.5553 1
Hg1 0.3333 0.6667 0.3912 1
Hg2 0.3333 0.6667 0.8700 1
Au1 0.3333 0.6667 0.1288 1
```

Principal peaks in the range 2θ from 10° to 80°, sorted by position:
d = 4.890 Å, rel. 21
d = 3.631 Å, rel. 31
d = 3.259 Å, rel. 94
d = 2.524 Å, rel. 100
d = 2.354 Å, rel. 25
d = 1.995 Å, rel. 27
d = 1.873 Å, rel. 29
d = 1.565 Å, rel. 21



This entry pairs a crystal structure of Fe2Ni3Pd3 with its simulated powder diffractogram. Radiation: Cu Kα, 1.54184 Å. Structure: DFT lattice parameters and positions (GGA-PBE).
Intensities are scaled so that the largest is 100.

Structure:
```
data_Fe2Ni3Pd3
_space_group_name_H-M_alt 'P m m m'
_space_group_IT_number 47
_cell_length_a 3.7017
_cell_length_b 3.7683
_cell_length_c 7.4850
_cell_angle_alpha 90.00
_cell_angle_beta 90.00
_cell_angle_gamma 90.00
loop_
_space_group_symop_operation_xyz
'x,y,z'
'-x,-y,-z'
'-x,-y,z'
'x,y,-z'
'x,-y,-z'
'-x,y,z'
'-x,y,-z'
'x,-y,z'
loop_
_atom_site_label
_atom_site_fract_x
_atom_site_fract_y
_atom_site_fract_z
_atom_site_occupancy
Fe1 0.0000 0.0000 0.2392 1
Ni1 0.0000 0.5000 0.0000 1
Ni2 0.0000 0.5000 0.5000 1
Ni3 0.5000 0.0000 0.0000 1
Pd1 0.5000 0.0000 0.5000 1
Pd2 0.5000 0.5000 0.2410 1
```

Principal peaks in the range 2θ from 10° to 80°, sorted by position:
d = 3.702 Å, rel. 5
d = 2.158 Å, rel. 100
d = 1.884 Å, rel. 16
d = 1.871 Å, rel. 16
d = 1.851 Å, rel. 15
d = 1.328 Å, rel. 9
d = 1.320 Å, rel. 10
d = 1.316 Å, rel. 9